For Li4Mn3OF8, DFT lattice parameters and positions (PBE+U) gives the simulated PXRD pattern in this record (CuKα).
Lines closer than 0.1° are merged.

a b c (Å): 5.1767 10.4954 10.5181
angles (deg): 83.50 89.89 88.29
Space group P1 (No. 1)
Unique sites:
Li 0.0000 0.0000 0.0000
Li 0.0013 0.0579 0.2701
Li 0.0135 0.2601 0.4749
Li 0.0145 0.4758 0.2672
Li 0.0226 0.2835 0.0657
Li 0.8942 0.8654 0.6714
Li 0.9075 0.8157 0.4056
Li 0.9186 0.6537 0.9171
Li 0.9490 0.4028 0.8253
Li 0.9522 0.1444 0.7439
Li 0.9591 0.5413 0.5481
Li 0.9717 0.7592 0.1596
Mn 0.4086 0.6386 0.7019
Mn 0.4406 0.6088 0.3891
Mn 0.4676 0.9234 0.1691
Mn 0.4730 0.8887 0.8704
Mn 0.4768 0.1670 0.9504
Mn 0.4774 0.5388 0.0680
Mn 0.4805 0.3613 0.6038
Mn 0.5110 0.2608 0.2848
Mn 0.5142 0.0735 0.5295
O 0.5995 0.5500 0.5665
O 0.6429 0.9953 0.0020
O 0.6532 0.2511 0.4701
F 0.1186 0.8865 0.2731
F 0.1268 0.6914 0.4883
F 0.1456 0.4321 0.4341
F 0.1509 0.4831 0.6931
F 0.1638 0.1077 0.1120
F 0.1927 0.8428 0.0281
F 0.1941 0.0566 0.8548
F 0.1947 0.1420 0.3822
F 0.2069 0.6210 0.2133
F 0.2098 0.2003 0.6232
F 0.2106 0.3092 0.9151
F 0.2199 0.3752 0.1707
F 0.2431 0.8278 0.7147
F 0.2757 0.6149 0.9004
F 0.6423 0.0559 0.2862
F 0.6562 0.7633 0.2933
F 0.6568 0.4783 0.2578
F 0.6725 0.2596 0.0969
F 0.7016 0.0179 0.7171
F 0.7085 0.2800 0.7749
F 0.7077 0.7080 0.0505
F 0.7174 0.7402 0.7793
F 0.7228 0.9039 0.5151
F 0.7825 0.4870 0.9499

Most intense lines, 10° ≤ 2θ ≤ 90°, sorted by position:
Position (°2θ), I/Imax, (hkl)
17.14, 100, 1 0 0
27.92, 18, 0 1 -3
32.55, 15, 1 3 -1
32.77, 15, 1 1 -3
33.09, 17, 1 -1 3
38.23, 14, 1 4 0
38.95, 12, -1 3 3
44.84, 12, 2 1 -3